CdH10S2N4O8: theoretical X-ray diffraction stick pattern (Cu Ka), based on a PBE-relaxed structure.
Lines closer than 0.1° are merged.

Structure:
Cell: 5.9742 6.6326 7.7907 Å, 89.18 73.32 85.41°
Element x y z (fractional)
Cd 0.0000 0.0000 0.0000
H 0.0258 0.3334 0.2610
H 0.1091 0.0922 0.6535
H 0.2849 0.3856 0.8289
H 0.3273 0.3553 0.6074
H 0.4505 0.1840 0.7204
H 0.5495 0.8160 0.2796
H 0.6727 0.6447 0.3926
H 0.7151 0.6144 0.1711
H 0.8909 0.9078 0.3465
H 0.9742 0.6666 0.7390
S 0.3851 0.2481 0.2526
S 0.6149 0.7519 0.7474
N 0.0850 0.1796 0.7658
N 0.3008 0.2807 0.7297
N 0.6992 0.7193 0.2703
N 0.9150 0.8204 0.2342
O 0.1630 0.2861 0.1635
O 0.3524 0.0535 0.3429
O 0.3541 0.4198 0.3763
O 0.4122 0.7490 0.9046
O 0.5878 0.2510 0.0954
O 0.6459 0.5802 0.6237
O 0.6476 0.9465 0.6571
O 0.8370 0.7139 0.8365

Principal peaks in the range 5° ≤ 2θ ≤ 70°, sorted by position:
(0 0 1), 11.86 deg, I 70; (0 1 0), 13.39 deg, I 58; (0 1 -1), 17.84 deg, I 89; (1 1 1), 20.69 deg, I 70; (1 -1 0), 21.36 deg, I 100; (1 0 -1), 22.16 deg, I 49; (1 0 2), 24.48 deg, I 35; (1 1 2), 27.50 deg, I 48; (2 0 1), 30.16 deg, I 47; (2 -1 1), 34.11 deg, I 28

=====

CdH18Se4N4O14: theoretical X-ray diffraction stick pattern (Cu Ka), based on a PBE-relaxed structure.
Lines closer than 0.1° are merged.

Structure:
Cell: 5.8588 7.4665 10.9619 Å, 90.01 105.26 112.61°
Element x y z (fractional)
Cd 0.0000 0.0000 0.0000
H 0.0193 0.7365 0.5119
H 0.0904 0.4048 0.9137
H 0.1134 0.6383 0.4061
H 0.1310 0.5705 0.8093
H 0.1555 0.8781 0.4062
H 0.2814 0.6427 0.9679
H 0.3362 0.8056 0.5267
H 0.3797 0.5102 0.8842
H 0.4123 0.2677 0.6745
H 0.5877 0.7323 0.3255
H 0.6203 0.4898 0.1158
H 0.6638 0.1944 0.4733
H 0.7186 0.3573 0.0321
H 0.8445 0.1219 0.5938
H 0.8690 0.4295 0.1907
H 0.8866 0.3617 0.5939
H 0.9096 0.5952 0.0863
H 0.9807 0.2635 0.4881
Se 0.3039 0.3380 0.2959
Se 0.4514 0.0469 0.8236
Se 0.5486 0.9531 0.1764
Se 0.6961 0.6620 0.7041
N 0.1538 0.7655 0.4617
N 0.2223 0.5326 0.8947
N 0.7777 0.4674 0.1053
N 0.8462 0.2345 0.5383
O 0.0691 0.3879 0.3314
O 0.2252 0.2957 0.1361
O 0.2273 0.8166 0.0995
O 0.3071 0.1590 0.8947
O 0.3361 0.1477 0.3658
O 0.4011 0.1262 0.6691
O 0.4115 0.4705 0.6575
O 0.5885 0.5295 0.3425
O 0.5989 0.8738 0.3309
O 0.6639 0.8523 0.6342
O 0.6929 0.8410 0.1053
O 0.7727 0.1834 0.9005
O 0.7748 0.7043 0.8639
O 0.9309 0.6121 0.6686

Principal peaks in the range 5° ≤ 2θ ≤ 70°, sorted by position:
(0 0 1), 8.42 deg, I 73; (0 1 -1), 14.61 deg, I 100; (1 0 -1), 16.80 deg, I 51; (1 1 -2), 26.74 deg, I 56; (1 -2 1), 26.87 deg, I 46; (1 0 2), 27.40 deg, I 52; (-1 1 3), 27.59 deg, I 65; (0 2 1), 28.32 deg, I 64; (-2 1 1), 30.52 deg, I 49; (1 -2 2), 31.24 deg, I 39